Record 1
Starting from a structure optimized by DFT (GGA-PBE), the powder diffraction line list of Hg11Pb was simulated for Cu Kα, 1.54184 Å.
Lines closer than 0.1° are merged.

The 10 most intense peaks (15 to 90 degrees two-theta), sorted by position:
2θ/deg  intensity
31.99  25
33.28  100
33.43  50
39.99  14
47.89  18
52.97  12
59.46  19
59.56  19
66.88  28
86.29  14

Cell and atoms:
abc: 10.770 10.770 3.275
angles: 90.00 90.00 120.00
Element x y z (fractional)
Hg1 0.000 0.500 0.000
Hg2 0.171 0.341 0.500
Hg3 0.171 0.829 0.500
Hg4 0.333 0.667 0.000
Hg5 0.341 0.171 0.500
Hg6 0.500 0.000 0.000
Hg7 0.500 0.500 0.000
Hg8 0.659 0.829 0.500
Hg9 0.667 0.333 0.000
Hg10 0.829 0.171 0.500
Hg11 0.829 0.659 0.500
Pb1 0.000 0.000 0.000


Record 2
Starting from a structure optimized by DFT (GGA-PBE), the powder diffraction line list of Hg2Pb was simulated for Cu Kα, 1.54184 Å.
Lines closer than 0.1° are merged.

The 10 most intense peaks (15 to 90 degrees two-theta), sorted by position:
2θ/deg  intensity
30.58  100
31.46  60
36.15  34
39.41  50
48.87  28
53.57  10
57.68  27
60.72  24
68.50  20
71.63  14

Cell and atoms:
abc: 6.152 6.152 6.152
angles: 108.02 108.02 112.42
Element x y z (fractional)
Hg1 0.147 0.647 0.794
Hg2 0.353 0.147 0.500
Hg3 0.647 0.853 0.500
Hg4 0.853 0.353 0.206
Pb1 0.250 0.250 0.000
Pb2 0.750 0.750 0.000


Record 3
Starting from a structure optimized by DFT (GGA-PBE), the powder diffraction line list of HgPb2 was simulated for Cu Kα, 1.54184 Å.
Lines closer than 0.1° are merged.

The 10 most intense peaks (15 to 90 degrees two-theta), sorted by position:
2θ/deg  intensity
18.57  23
27.83  18
33.67  100
37.65  37
41.78  14
54.31  13
57.49  22
65.44  30
70.78  12
71.12  13

Cell and atoms:
abc: 4.778 4.778 4.324
angles: 90.00 90.00 90.00
Element x y z (fractional)
Hg1 0.000 0.000 0.000
Pb1 0.000 0.500 0.500
Pb2 0.500 0.000 0.500


Record 4
Starting from a structure optimized by DFT (GGA-PBE), the powder diffraction line list of Hg4Pb was simulated for Cu Kα, 1.54184 Å.
Lines closer than 0.1° are merged.

The 10 most intense peaks (15 to 90 degrees two-theta), sorted by position:
2θ/deg  intensity
24.01  18
29.39  11
31.76  100
37.90  36
38.69  17
42.40  13
60.28  12
60.97  13
63.70  15
69.88  16

Cell and atoms:
abc: 7.507 7.507 5.179
angles: 90.00 90.00 90.00
Element x y z (fractional)
Hg1 0.098 0.598 0.218
Hg2 0.098 0.902 0.782
Hg3 0.402 0.598 0.782
Hg4 0.402 0.902 0.218
Hg5 0.598 0.098 0.782
Hg6 0.598 0.402 0.218
Hg7 0.902 0.098 0.218
Hg8 0.902 0.402 0.782
Pb1 0.250 0.250 0.500
Pb2 0.750 0.750 0.500


What did the fourth record say?
Starting from a structure optimized by DFT (GGA-PBE), the powder diffraction line list of Hg4Pb was simulated for Cu Kα, 1.54184 Å.
Lines closer than 0.1° are merged.

The 10 most intense peaks (15 to 90 degrees two-theta), sorted by position:
2θ/deg  intensity
24.01  18
29.39  11
31.76  100
37.90  36
38.69  17
42.40  13
60.28  12
60.97  13
63.70  15
69.88  16

Cell and atoms:
abc: 7.507 7.507 5.179
angles: 90.00 90.00 90.00
Element x y z (fractional)
Hg1 0.098 0.598 0.218
Hg2 0.098 0.902 0.782
Hg3 0.402 0.598 0.782
Hg4 0.402 0.902 0.218
Hg5 0.598 0.098 0.782
Hg6 0.598 0.402 0.218
Hg7 0.902 0.098 0.218
Hg8 0.902 0.402 0.782
Pb1 0.250 0.250 0.500
Pb2 0.750 0.750 0.500


> Which formula does entry 2 have?

Hg2Pb